Computed powder diffraction line list
Compound: NaZr2As3O12
Radiation: Cu Kα
Structure: the PBE geometry in Alexandria
No peak broadening, texture or thermal motion is included.

Crystal structure
Unit cell a=9.498 b=9.498 c=9.498 alpha=58.87 beta=58.87 gamma=58.87
Positions (direct):
Na (0.000, 0.000, 0.000)
Na (0.500, 0.500, 0.500)
Zr (0.143, 0.143, 0.143)
Zr (0.357, 0.357, 0.357)
Zr (0.643, 0.643, 0.643)
Zr (0.857, 0.857, 0.857)
As (0.041, 0.750, 0.459)
As (0.250, 0.541, 0.959)
As (0.459, 0.041, 0.750)
As (0.541, 0.959, 0.250)
As (0.750, 0.459, 0.041)
As (0.959, 0.250, 0.541)
O (0.002, 0.798, 0.629)
O (0.061, 0.923, 0.267)
O (0.077, 0.733, 0.939)
O (0.129, 0.298, 0.502)
O (0.202, 0.371, 0.998)
O (0.233, 0.577, 0.439)
O (0.267, 0.061, 0.923)
O (0.298, 0.502, 0.129)
O (0.371, 0.998, 0.202)
O (0.423, 0.561, 0.767)
O (0.439, 0.233, 0.577)
O (0.498, 0.871, 0.702)
O (0.502, 0.129, 0.298)
O (0.561, 0.767, 0.423)
O (0.577, 0.439, 0.233)
O (0.629, 0.002, 0.798)
O (0.702, 0.498, 0.871)
O (0.733, 0.939, 0.077)
O (0.767, 0.423, 0.561)
O (0.798, 0.629, 0.002)
O (0.871, 0.702, 0.498)
O (0.923, 0.267, 0.061)
O (0.939, 0.077, 0.733)
O (0.998, 0.202, 0.371)

Main lines, by angle (2θ from 5° to 70°):
d [Å]	I (rel.)
6.657	14
4.748	23
4.668	19
4.008	100
3.329	27
3.030	14
2.998	48
2.710	13
2.695	34
2.004	17

=====

Computed powder diffraction line list
Compound: NaAs2P
Radiation: Cu Kα
Structure: the PBE geometry in Alexandria
No peak broadening, texture or thermal motion is included.

Crystal structure
Unit cell a=6.050 b=5.855 c=11.858 alpha=90.00 beta=111.93 gamma=90.00
Positions (direct):
Na (0.111, 0.174, 0.131)
Na (0.111, 0.826, 0.631)
Na (0.889, 0.174, 0.369)
Na (0.889, 0.826, 0.869)
As (0.188, 0.333, 0.687)
As (0.188, 0.667, 0.187)
As (0.436, 0.221, 0.436)
As (0.436, 0.779, 0.936)
As (0.564, 0.221, 0.064)
As (0.564, 0.779, 0.564)
As (0.812, 0.333, 0.813)
As (0.812, 0.667, 0.313)
P (0.495, 0.399, 0.878)
P (0.495, 0.601, 0.378)
P (0.505, 0.399, 0.622)
P (0.505, 0.601, 0.122)

Main lines, by angle (2θ from 5° to 70°):
d [Å]	I (rel.)
5.612	46
3.507	41
3.352	55
3.178	32
3.108	63
2.993	100
2.928	39
2.829	61
2.093	43
2.034	34

=====

Computed powder diffraction line list
Compound: Na2AsPPt6
Radiation: Cu Kα
Structure: the PBE geometry in Alexandria
No peak broadening, texture or thermal motion is included.

Crystal structure
Unit cell a=5.605 b=8.565 c=7.973 alpha=90.00 beta=90.00 gamma=90.00
Positions (direct):
Na (0.250, 0.020, 0.214)
Na (0.250, 0.480, 0.214)
Na (0.750, 0.520, 0.786)
Na (0.750, 0.980, 0.786)
As (0.250, 0.750, 0.773)
As (0.750, 0.250, 0.227)
P (0.250, 0.250, 0.748)
P (0.750, 0.750, 0.252)
Pt (0.004, 0.750, 0.494)
Pt (0.007, 0.750, 0.030)
Pt (0.250, 0.000, 0.616)
Pt (0.250, 0.500, 0.616)
Pt (0.493, 0.750, 0.030)
Pt (0.496, 0.750, 0.494)
Pt (0.504, 0.250, 0.506)
Pt (0.507, 0.250, 0.970)
Pt (0.750, 0.000, 0.384)
Pt (0.750, 0.500, 0.384)
Pt (0.993, 0.250, 0.970)
Pt (0.996, 0.250, 0.506)

Main lines, by angle (2θ from 5° to 70°):
d [Å]	I (rel.)
7.973	58
4.585	46
4.282	40
3.986	67
2.918	61
2.345	100
2.293	56
2.141	55
2.021	78
1.807	47

=====

Computed powder diffraction line list
Compound: NaAsP2Se8
Radiation: Cu Kα
Structure: the PBE geometry in Alexandria
No peak broadening, texture or thermal motion is included.

Crystal structure
Unit cell a=9.963 b=9.963 c=9.963 alpha=35.87 beta=35.87 gamma=35.87
Positions (direct):
Na (0.000, 0.000, 0.000)
As (0.500, 0.500, 0.500)
P (0.251, 0.251, 0.251)
P (0.749, 0.749, 0.749)
Se (0.108, 0.401, 0.809)
Se (0.191, 0.892, 0.599)
Se (0.330, 0.330, 0.330)
Se (0.401, 0.809, 0.108)
Se (0.599, 0.191, 0.892)
Se (0.670, 0.670, 0.670)
Se (0.809, 0.108, 0.401)
Se (0.892, 0.599, 0.191)

Main lines, by angle (2θ from 5° to 70°):
d [Å]	I (rel.)
9.312	13
3.850	28
3.104	36
2.914	100
2.562	84
1.855	41
1.771	34
1.592	12
1.538	19
1.457	12

=====

Computed powder diffraction line list
Compound: Na2SrAs2Pb
Radiation: Cu Kα
Structure: the PBE geometry in Alexandria
No peak broadening, texture or thermal motion is included.

Crystal structure
Unit cell a=4.595 b=9.405 c=7.846 alpha=90.00 beta=90.00 gamma=90.00
Positions (direct):
Na (0.000, 0.077, 0.000)
Na (0.000, 0.923, 0.500)
Na (0.500, 0.171, 0.317)
Na (0.500, 0.829, 0.817)
Sr (0.500, 0.424, 0.933)
Sr (0.500, 0.576, 0.433)
As (0.000, 0.373, 0.221)
As (0.000, 0.627, 0.721)
As (0.500, 0.130, 0.714)
As (0.500, 0.870, 0.214)
Pb (0.000, 0.300, 0.599)
Pb (0.000, 0.700, 0.099)

Main lines, by angle (2θ from 5° to 70°):
d [Å]	I (rel.)
9.405	60
6.025	100
3.654	55
3.031	58
2.984	55
2.844	62
2.590	51
2.520	52
2.459	40
2.298	44

=====

Computed powder diffraction line list
Compound: NaAs4Pd6
Radiation: Cu Kα
Structure: the PBE geometry in Alexandria
No peak broadening, texture or thermal motion is included.

Crystal structure
Unit cell a=7.497 b=7.497 c=3.856 alpha=90.00 beta=90.00 gamma=120.00
Positions (direct):
Na (0.000, 0.000, 0.000)
As (0.333, 0.667, 0.000)
As (0.367, 0.184, 0.500)
As (0.816, 0.184, 0.500)
As (0.816, 0.633, 0.500)
Pd (0.198, 0.396, 0.500)
Pd (0.198, 0.802, 0.500)
Pd (0.537, 0.073, 0.000)
Pd (0.537, 0.463, 0.000)
Pd (0.604, 0.802, 0.500)
Pd (0.927, 0.463, 0.000)

Main lines, by angle (2θ from 5° to 70°):
d [Å]	I (rel.)
6.492	39
3.315	19
2.688	16
2.483	100
2.454	25
2.164	27
2.070	87
1.928	29
1.874	34
1.440	14

=====

Computed powder diffraction line list
Compound: Na3As2Pd3
Radiation: Cu Kα
Structure: the PBE geometry in Alexandria
No peak broadening, texture or thermal motion is included.

Crystal structure
Unit cell a=7.870 b=15.083 c=5.710 alpha=90.00 beta=90.00 gamma=90.00
Positions (direct):
Na (0.017, 0.110, 0.118)
Na (0.017, 0.390, 0.118)
Na (0.177, 0.250, 0.569)
Na (0.323, 0.750, 0.069)
Na (0.483, 0.610, 0.618)
Na (0.483, 0.890, 0.618)
Na (0.517, 0.110, 0.382)
Na (0.517, 0.390, 0.382)
Na (0.677, 0.250, 0.931)
Na (0.823, 0.750, 0.431)
Na (0.983, 0.610, 0.882)
Na (0.983, 0.890, 0.882)
As (0.143, 0.603, 0.381)
As (0.143, 0.897, 0.381)
As (0.357, 0.103, 0.881)
As (0.357, 0.397, 0.881)
As (0.643, 0.603, 0.119)
As (0.643, 0.897, 0.119)
As (0.857, 0.103, 0.619)
As (0.857, 0.397, 0.619)
Pd (0.146, 0.037, 0.611)
Pd (0.146, 0.463, 0.611)
Pd (0.178, 0.750, 0.546)
Pd (0.322, 0.250, 0.046)
Pd (0.354, 0.537, 0.111)
Pd (0.354, 0.963, 0.111)
Pd (0.646, 0.037, 0.889)
Pd (0.646, 0.463, 0.889)
Pd (0.678, 0.750, 0.954)
Pd (0.822, 0.250, 0.454)
Pd (0.854, 0.537, 0.389)
Pd (0.854, 0.963, 0.389)

Main lines, by angle (2θ from 5° to 70°):
d [Å]	I (rel.)
7.541	52
4.622	100
4.419	47
3.773	59
2.457	44
2.384	81
2.368	52
2.187	53
1.953	49
1.890	44

=====

Computed powder diffraction line list
Compound: Na2As3Pd6
Radiation: Cu Kα
Structure: the PBE geometry in Alexandria
No peak broadening, texture or thermal motion is included.

Crystal structure
Unit cell a=7.353 b=7.353 c=4.340 alpha=90.00 beta=90.00 gamma=120.00
Positions (direct):
Na (0.333, 0.667, 0.000)
Na (0.667, 0.333, 0.000)
As (0.000, 0.620, 0.500)
As (0.380, 0.380, 0.500)
As (0.620, 0.000, 0.500)
Pd (0.000, 0.285, 0.500)
Pd (0.000, 0.782, 0.000)
Pd (0.218, 0.218, 0.000)
Pd (0.285, 0.000, 0.500)
Pd (0.715, 0.715, 0.500)
Pd (0.782, 0.000, 0.000)

Main lines, by angle (2θ from 5° to 70°):
d [Å]	I (rel.)
6.368	44
3.676	39
2.805	60
2.407	16
2.170	34
2.123	23
2.105	100
1.907	24
1.869	12
1.517	15

=====

Copy entry 6 word for word.
Computed powder diffraction line list
Compound: NaAs4Pd6
Radiation: Cu Kα
Structure: the PBE geometry in Alexandria
No peak broadening, texture or thermal motion is included.

Crystal structure
Unit cell a=7.497 b=7.497 c=3.856 alpha=90.00 beta=90.00 gamma=120.00
Positions (direct):
Na (0.000, 0.000, 0.000)
As (0.333, 0.667, 0.000)
As (0.367, 0.184, 0.500)
As (0.816, 0.184, 0.500)
As (0.816, 0.633, 0.500)
Pd (0.198, 0.396, 0.500)
Pd (0.198, 0.802, 0.500)
Pd (0.537, 0.073, 0.000)
Pd (0.537, 0.463, 0.000)
Pd (0.604, 0.802, 0.500)
Pd (0.927, 0.463, 0.000)

Main lines, by angle (2θ from 5° to 70°):
d [Å]	I (rel.)
6.492	39
3.315	19
2.688	16
2.483	100
2.454	25
2.164	27
2.070	87
1.928	29
1.874	34
1.440	14